Record 1
The following is a computed powder diffractogram of Rb2Pd3S4. It was derived from a GGA-PBE-relaxed structure, using Cu Kα.
Peak positions follow from Bragg's law for the DFT cell and can differ from measured ones.

Crystal structure
```
Rb2Pd3S4
1.0
0.0000 5.3885 6.6961
3.1846 0.0000 6.6961
3.1846 5.3885 0.0000
Rb Pd S
2 3 4
direct
0.1586 0.1586 0.8414
0.8414 0.8414 0.1586
0.0000 0.0000 0.5000
0.5000 0.5000 0.0000
0.5000 0.5000 0.5000
0.2173 0.5534 0.4466
0.4466 0.7827 0.2173
0.5534 0.2173 0.7827
0.7827 0.4466 0.5534
```

Main lines, by angle (5 to 70 degrees two-theta):
| 2θ (°) | intensity |
| --- | --- |
| 13.22 | 100 |
| 21.16 | 32 |
| 25.73 | 65 |
| 32.66 | 55 |
| 35.02 | 61 |
| 52.90 | 39 |

Record 2
The following is a computed powder diffractogram of RbTeF5. It was derived from a GGA-PBE-relaxed structure, using Cu Kα.
Peak positions follow from Bragg's law for the DFT cell and can differ from measured ones.

Crystal structure
```
RbTeF5
1.0
14.2978 0.0000 0.0000
0.0000 6.3846 0.0000
0.0000 0.0000 11.7430
Rb Te F
8 8 40
direct
0.0969 0.2500 0.0064
0.1001 0.7500 0.3382
0.3999 0.2500 0.8382
0.4031 0.7500 0.5064
0.5969 0.2500 0.4936
0.6001 0.7500 0.1618
0.8999 0.2500 0.6618
0.9031 0.7500 0.9936
0.0758 0.7500 0.7144
0.2414 0.2500 0.5381
0.2586 0.7500 0.0381
0.4242 0.2500 0.2144
0.5758 0.7500 0.7856
0.7414 0.2500 0.9619
0.7586 0.7500 0.4619
0.9242 0.2500 0.2856
0.0260 0.5251 0.8202
0.0260 0.9749 0.8202
0.0540 0.2500 0.3274
0.0788 0.5331 0.5909
0.0788 0.9669 0.5909
0.1240 0.7500 0.0168
0.2209 0.5336 0.1535
0.2209 0.9664 0.1535
0.2460 0.5239 0.9186
0.2460 0.9761 0.9186
0.2540 0.0239 0.4186
0.2540 0.4761 0.4186
0.2791 0.0336 0.6535
0.2791 0.4664 0.6535
0.3760 0.2500 0.5168
0.4212 0.0331 0.0909
0.4212 0.4669 0.0909
0.4460 0.7500 0.8274
0.4740 0.0251 0.3202
0.4740 0.4749 0.3202
0.5260 0.5251 0.6798
0.5260 0.9749 0.6798
0.5540 0.2500 0.1726
0.5788 0.5331 0.9091
0.5788 0.9669 0.9091
0.6240 0.7500 0.4832
0.7209 0.5336 0.3465
0.7209 0.9664 0.3465
0.7460 0.5239 0.5814
0.7460 0.9761 0.5814
0.7540 0.0239 0.0814
0.7540 0.4761 0.0814
0.7791 0.0336 0.8465
0.7791 0.4664 0.8465
0.8760 0.2500 0.9832
0.9212 0.0331 0.4091
0.9212 0.4669 0.4091
0.9460 0.7500 0.6726
0.9740 0.0251 0.1798
0.9740 0.4749 0.1798
```

Main lines, by angle (5 to 70 degrees two-theta):
| 2θ (°) | intensity |
| --- | --- |
| 19.56 | 44 |
| 23.56 | 30 |
| 24.06 | 57 |
| 24.51 | 100 |
| 36.87 | 37 |
| 37.76 | 30 |

Record 3
The following is a computed powder diffractogram of Ba2Si3Ag. It was derived from a GGA-PBE-relaxed structure, using Cu Kα.
Peak positions follow from Bragg's law for the DFT cell and can differ from measured ones.

Crystal structure
```
Ba2Si3Ag
1.0
0.0000 7.5108 9.9756
4.3317 0.0000 9.9756
4.3317 7.5108 0.0000
Ba Si Ag
8 12 4
direct
0.0008 0.0008 0.2492
0.2492 0.2492 0.0008
0.2506 0.2506 0.4994
0.4994 0.4994 0.2506
0.5006 0.5006 0.7494
0.7494 0.7494 0.5006
0.7508 0.7508 0.9992
0.9992 0.9992 0.7508
0.0313 0.7127 0.5593
0.0346 0.7154 0.0346
0.1966 0.5593 0.7127
0.2846 0.9654 0.2846
0.2873 0.9687 0.8034
0.4407 0.8034 0.9687
0.5593 0.1966 0.0313
0.7127 0.0313 0.1966
0.7154 0.0346 0.7154
0.8034 0.4407 0.2873
0.9654 0.2846 0.9654
0.9687 0.2873 0.4407
0.2080 0.5420 0.2080
0.4580 0.7920 0.4580
0.5420 0.2080 0.5420
0.7920 0.4580 0.7920
```

Main lines, by angle (5 to 70 degrees two-theta):
| 2θ (°) | intensity |
| --- | --- |
| 23.71 | 18 |
| 29.79 | 100 |
| 41.68 | 32 |
| 52.07 | 20 |
| 56.24 | 26 |
| 68.80 | 17 |